Simulated powder X-ray diffraction pattern of SmNpCl6 for λ = 1.5418 Å (Cu Kα), from a DFT-relaxed cell (GGA-PBE, Alexandria).
Neutral-atom scattering factors, no anomalous dispersion.

Cell and atoms:
```
data_SmNpCl6
_chemical_formula_sum 'Sm1 Np1 Cl6'
_cell_length_a 7.0714
_cell_length_b 7.0714
_cell_length_c 6.7738
_cell_angle_alpha 97.52
_cell_angle_beta 97.52
_cell_angle_gamma 121.41
_symmetry_space_group_name_H-M 'P 1'
_symmetry_Int_Tables_number 1
loop_
_symmetry_equiv_pos_as_xyz
'x,y,z'
loop_
_atom_site_label
_atom_site_type_symbol
_atom_site_fract_x
_atom_site_fract_y
_atom_site_fract_z
_atom_site_occupancy
Sm1 Sm 0.0000 0.0000 0.0000 1
Np1 Np 0.5000 0.5000 0.5000 1
Cl1 Cl 0.1030 0.3933 0.2480 1
Cl2 Cl 0.2442 0.2442 0.7459 1
Cl3 Cl 0.3933 0.1030 0.2480 1
Cl4 Cl 0.6067 0.8970 0.7520 1
Cl5 Cl 0.7558 0.7558 0.2541 1
Cl6 Cl 0.8970 0.6067 0.7520 1
```

Main lines, by angle (2θ from 5° to 70°):
- 6.167 Å, 14.36 deg, I 90
- 4.985 Å, 17.79 deg, I 100
- 3.927 Å, 22.64 deg, I 47
- 2.933 Å, 30.48 deg, I 20
- 2.918 Å, 30.63 deg, I 59
- 2.884 Å, 31.00 deg, I 20
- 2.725 Å, 32.87 deg, I 25
- 2.492 Å, 36.03 deg, I 19
- 2.263 Å, 39.84 deg, I 27
- 2.007 Å, 45.17 deg, I 19

Simulated powder X-ray diffraction pattern of Np3TeCl7 for λ = 1.5418 Å (Cu Kα), from a DFT-relaxed cell (GGA-PBE, Alexandria).
Neutral-atom scattering factors, no anomalous dispersion.

Cell and atoms:
```
data_Np3TeCl7
_chemical_formula_sum 'Np3 Te1 Cl7'
_cell_length_a 8.4444
_cell_length_b 8.4444
_cell_length_c 6.9997
_cell_angle_alpha 90.00
_cell_angle_beta 90.00
_cell_angle_gamma 120.00
_symmetry_space_group_name_H-M 'P 1'
_symmetry_Int_Tables_number 1
loop_
_symmetry_equiv_pos_as_xyz
'x,y,z'
loop_
_atom_site_label
_atom_site_type_symbol
_atom_site_fract_x
_atom_site_fract_y
_atom_site_fract_z
_atom_site_occupancy
Np1 Np 0.1677 0.3354 0.0000 1
Np2 Np 0.1677 0.8323 0.0000 1
Np3 Np 0.6646 0.8323 0.0000 1
Te1 Te 0.3333 0.6667 0.2683 1
Cl1 Cl 0.0000 0.0000 0.7849 1
Cl2 Cl 0.0255 0.5127 0.7991 1
Cl3 Cl 0.3047 0.1523 0.1986 1
Cl4 Cl 0.4873 0.5127 0.7991 1
Cl5 Cl 0.4873 0.9745 0.7991 1
Cl6 Cl 0.8477 0.1523 0.1986 1
Cl7 Cl 0.8477 0.6953 0.1986 1
```

Main lines, by angle (2θ from 5° to 70°):
- 7.313 Å, 12.10 deg, I 53
- 7.000 Å, 12.65 deg, I 100
- 5.057 Å, 17.54 deg, I 28
- 3.657 Å, 24.34 deg, I 29
- 3.615 Å, 24.62 deg, I 17
- 3.241 Å, 27.52 deg, I 93
- 2.528 Å, 35.51 deg, I 66
- 2.111 Å, 42.84 deg, I 29
- 2.021 Å, 44.84 deg, I 26
- 1.967 Å, 46.15 deg, I 28

Simulated powder X-ray diffraction pattern of Np2Tl3Cl9 for λ = 1.5418 Å (Cu Kα), from a DFT-relaxed cell (GGA-PBE, Alexandria).
Neutral-atom scattering factors, no anomalous dispersion.

Cell and atoms:
```
data_Np2Tl3Cl9
_chemical_formula_sum 'Np4 Tl6 Cl18'
_cell_length_a 9.7487
_cell_length_b 9.7487
_cell_length_c 9.7487
_cell_angle_alpha 85.72
_cell_angle_beta 85.72
_cell_angle_gamma 85.72
_symmetry_space_group_name_H-M 'P 1'
_symmetry_Int_Tables_number 1
loop_
_symmetry_equiv_pos_as_xyz
'x,y,z'
loop_
_atom_site_label
_atom_site_type_symbol
_atom_site_fract_x
_atom_site_fract_y
_atom_site_fract_z
_atom_site_occupancy
Np1 Np 0.1427 0.1427 0.1427 1
Np2 Np 0.3573 0.3573 0.3573 1
Np3 Np 0.6427 0.6427 0.6427 1
Np4 Np 0.8573 0.8573 0.8573 1
Tl1 Tl 0.0506 0.7500 0.4494 1
Tl2 Tl 0.2500 0.5506 0.9494 1
Tl3 Tl 0.4494 0.0506 0.7500 1
Tl4 Tl 0.5506 0.9494 0.2500 1
Tl5 Tl 0.7500 0.4494 0.0506 1
Tl6 Tl 0.9494 0.2500 0.5506 1
Cl1 Cl 0.0523 0.2809 0.9181 1
Cl2 Cl 0.0819 0.9477 0.7191 1
Cl3 Cl 0.0981 0.4019 0.2500 1
Cl4 Cl 0.2191 0.4477 0.5819 1
Cl5 Cl 0.2500 0.0981 0.4019 1
Cl6 Cl 0.2809 0.9181 0.0523 1
Cl7 Cl 0.4019 0.2500 0.0981 1
Cl8 Cl 0.4181 0.7809 0.5523 1
Cl9 Cl 0.4477 0.5819 0.2191 1
Cl10 Cl 0.5523 0.4181 0.7809 1
Cl11 Cl 0.5819 0.2191 0.4477 1
Cl12 Cl 0.5981 0.7500 0.9019 1
Cl13 Cl 0.7191 0.0819 0.9477 1
Cl14 Cl 0.7500 0.9019 0.5981 1
Cl15 Cl 0.7809 0.5523 0.4181 1
Cl16 Cl 0.9019 0.5981 0.7500 1
Cl17 Cl 0.9181 0.0523 0.2809 1
Cl18 Cl 0.9477 0.7191 0.0819 1
```

Main lines, by angle (2θ from 5° to 70°):
- 4.463 Å, 19.89 deg, I 59
- 4.215 Å, 21.08 deg, I 29
- 3.828 Å, 23.23 deg, I 100
- 3.554 Å, 25.05 deg, I 34
- 3.133 Å, 28.49 deg, I 30
- 2.906 Å, 30.77 deg, I 61
- 2.746 Å, 32.61 deg, I 32
- 2.277 Å, 39.58 deg, I 28
- 2.231 Å, 40.42 deg, I 30
- 1.927 Å, 47.17 deg, I 22